Entry 1:
This entry pairs a crystal structure of K2MgHgCl6 with its theoretical powder XRD pattern. Radiation: a wavelength of 1.5418 Å. Structure: a DFT-relaxed cell (PBE, OQMD).
Kinematic intensities with the Lorentz-polarization factor, no thermal factor.

Crystal structure
```
K2MgHgCl6
1.0
0.0000 5.1325 5.1325
5.1325 0.0000 5.1325
5.1325 5.1325 0.0000
K Mg Hg Cl
2 1 1 6
Direct
0.2500 0.2500 0.2500
0.7500 0.7500 0.7500
0.0000 0.0000 0.0000
0.5000 0.5000 0.5000
0.2416 0.2416 0.7584
0.2416 0.7584 0.2416
0.2416 0.7584 0.7584
0.7584 0.2416 0.2416
0.7584 0.2416 0.7584
0.7584 0.7584 0.2416
```

Top 6 peaks for 10 to 90 degrees two-theta, in order of rising 2θ:
2θ 14.95, I 93; 2θ 17.28, I 97; 2θ 24.53, I 100; 2θ 28.85, I 76; 2θ 34.96, I 99; 2θ 50.28, I 65

=====

Entry 2:
This entry pairs a crystal structure of ZnMo4SN2 with its theoretical powder XRD pattern. Radiation: a wavelength of 1.5418 Å. Structure: a DFT-relaxed cell (PBE, OQMD).
Kinematic intensities with the Lorentz-polarization factor, no thermal factor.

Crystal structure
```
ZnMo4SN2
1.0
2.9188 0.0000 0.0000
-1.4594 2.5277 0.0000
0.0000 0.0000 13.6184
Zn Mo S N
1 4 1 2
Direct
0.0000 0.0000 0.0000
0.0000 0.0000 0.3648
0.0000 0.0000 0.6352
0.3333 0.6667 0.1629
0.3333 0.6667 0.8371
0.3333 0.6667 0.5000
0.6667 0.3333 0.2609
0.6667 0.3333 0.7391
```

Top 6 peaks for 10 to 90 degrees two-theta, in order of rising 2θ:
2θ 35.51, I 23; 2θ 39.71, I 14; 2θ 40.86, I 100; 2θ 54.32, I 12; 2θ 63.77, I 21; 2θ 78.57, I 14

=====

Entry 3:
This entry pairs a crystal structure of Ba7B12Ir12 with its theoretical powder XRD pattern. Radiation: a wavelength of 1.5418 Å. Structure: a DFT-relaxed cell (PBE, OQMD).
Kinematic intensities with the Lorentz-polarization factor, no thermal factor.

Crystal structure
```
Ba7B12Ir12
1.0
7.7158 4.4547 2.8087
-7.7158 4.4547 2.8087
0.0000 -8.9095 2.8087
Ba B Ir
7 12 12
Direct
0.0000 0.0000 0.0000
0.2066 0.2066 0.5105
0.2066 0.5105 0.2066
0.4895 0.7934 0.7934
0.5105 0.2066 0.2066
0.7934 0.4895 0.7934
0.7934 0.7934 0.4895
0.0000 0.2271 0.7729
0.0000 0.4408 0.5592
0.0000 0.5592 0.4408
0.0000 0.7729 0.2271
0.2271 0.0000 0.7729
0.2271 0.7729 0.0000
0.4408 0.0000 0.5592
0.4408 0.5592 0.0000
0.5592 0.0000 0.4408
0.5592 0.4408 0.0000
0.7729 0.0000 0.2271
0.7729 0.2271 0.0000
0.1154 0.7360 0.7360
0.1698 0.5000 0.8302
0.1698 0.8302 0.5000
0.2640 0.2640 0.8846
0.2640 0.8846 0.2640
0.5000 0.1698 0.8302
0.5000 0.8302 0.1698
0.7360 0.1154 0.7360
0.7360 0.7360 0.1154
0.8302 0.1698 0.5000
0.8302 0.5000 0.1698
0.8846 0.2640 0.2640
```

Top 6 peaks for 10 to 90 degrees two-theta, in order of rising 2θ:
2θ 11.47, I 54; 2θ 27.57, I 56; 2θ 31.04, I 24; 2θ 34.88, I 100; 2θ 37.87, I 28; 2θ 53.86, I 23

=====

Entry 4:
This entry pairs a crystal structure of NiH16C4S4N8Cl2 with its theoretical powder XRD pattern. Radiation: a wavelength of 1.5418 Å. Structure: a DFT-relaxed cell (PBE, OQMD).
Kinematic intensities with the Lorentz-polarization factor, no thermal factor.

Crystal structure
```
NiH16C4S4N8Cl2
1.0
-4.7472 4.7472 4.3743
4.7472 -4.7472 4.3743
4.7472 4.7472 -4.3743
Ni H C S N Cl
1 16 4 4 8 2
Direct
0.0000 0.0000 0.0000
0.0572 0.0645 0.6733
0.0645 0.3913 0.0073
0.1150 0.4755 0.6656
0.3839 0.0572 0.9927
0.3876 0.6063 0.7794
0.3913 0.3839 0.3267
0.4494 0.1150 0.6394
0.4755 0.8100 0.3606
0.5516 0.5632 0.5827
0.5632 0.9804 0.0115
0.6063 0.8269 0.2186
0.6083 0.3876 0.7814
0.8100 0.4494 0.3344
0.8269 0.6083 0.2206
0.9689 0.5516 0.9885
0.9804 0.9689 0.4173
0.2321 0.4074 0.4783
0.4074 0.9290 0.1752
0.7538 0.2321 0.8248
0.9290 0.7538 0.5217
0.2184 0.9418 0.2267
0.7151 0.9917 0.7733
0.9418 0.7151 0.7233
0.9917 0.2184 0.2767
0.2456 0.5036 0.6542
0.4056 0.4581 0.4635
0.4581 0.9946 0.0526
0.5036 0.8494 0.2580
0.5914 0.2456 0.7420
0.8494 0.5914 0.3458
0.9420 0.4056 0.9474
0.9946 0.9420 0.5365
0.2759 0.2759 0.0000
0.7122 0.7122 0.0000
```

Top 6 peaks for 10 to 90 degrees two-theta, in order of rising 2θ:
2θ 13.19, I 61; 2θ 13.76, I 100; 2θ 23.29, I 45; 2θ 29.76, I 50; 2θ 33.65, I 44; 2θ 37.91, I 33

=====

Entry 5:
This entry pairs a crystal structure of YInFeTe3 with its theoretical powder XRD pattern. Radiation: a wavelength of 1.5418 Å. Structure: a DFT-relaxed cell (PBE, OQMD).
Kinematic intensities with the Lorentz-polarization factor, no thermal factor.

Crystal structure
```
YInFeTe3
1.0
2.1265 -7.7352 0.0000
2.1265 7.7352 0.0000
0.0000 0.0000 11.2391
Y In Fe Te
2 2 2 6
Direct
0.0000 0.0000 0.0000
0.0000 0.0000 0.5000
0.2429 0.7571 0.7500
0.7571 0.2429 0.2500
0.4721 0.5279 0.2500
0.5279 0.4721 0.7500
0.0785 0.9215 0.2500
0.3649 0.6351 0.0688
0.3649 0.6351 0.4312
0.6351 0.3649 0.5688
0.6351 0.3649 0.9312
0.9215 0.0785 0.7500
```

Top 6 peaks for 10 to 90 degrees two-theta, in order of rising 2θ:
2θ 26.43, I 53; 2θ 28.34, I 100; 2θ 31.58, I 55; 2θ 32.37, I 34; 2θ 42.53, I 43; 2θ 49.14, I 32

=====

Entry 6:
This entry pairs a crystal structure of Pm2In2O5 with its theoretical powder XRD pattern. Radiation: a wavelength of 1.5418 Å. Structure: a DFT-relaxed cell (PBE, OQMD).
Kinematic intensities with the Lorentz-polarization factor, no thermal factor.

Crystal structure
```
Pm2In2O5
1.0
4.1396 0.0000 0.0000
0.0000 4.1396 0.0000
0.0000 0.0000 8.8757
Pm In O
2 2 5
Direct
0.0000 0.0000 0.2441
0.0000 0.0000 0.7559
0.5000 0.5000 0.0000
0.5000 0.5000 0.5000
0.0000 0.0000 0.5000
0.0000 0.5000 0.1473
0.0000 0.5000 0.8527
0.5000 0.0000 0.1473
0.5000 0.0000 0.8527
```

Top 6 peaks for 10 to 90 degrees two-theta, in order of rising 2θ:
2θ 29.51, I 100; 2θ 30.54, I 40; 2θ 43.73, I 24; 2θ 51.69, I 27; 2θ 53.64, I 37; 2θ 86.28, I 12

=====

Entry 7:
This entry pairs a crystal structure of Te10Mo3I10 with its theoretical powder XRD pattern. Radiation: a wavelength of 1.5418 Å. Structure: a DFT-relaxed cell (PBE, OQMD).
Kinematic intensities with the Lorentz-polarization factor, no thermal factor.

Crystal structure
```
Te10Mo3I10
1.0
11.1202 0.0000 0.0000
4.3389 10.2490 0.0000
4.3621 0.0259 17.5804
Te Mo I
20 6 20
Direct
0.0371 0.2498 0.3591
0.1068 0.4624 0.3214
0.1630 0.4656 0.1287
0.2219 0.9894 0.2178
0.3154 0.0651 0.8545
0.3249 0.9718 0.3969
0.3790 0.0739 0.1008
0.4239 0.3464 0.4257
0.4423 0.2640 0.2255
0.4486 0.9709 0.6296
0.5514 0.0291 0.3704
0.5577 0.7360 0.7745
0.5761 0.6536 0.5743
0.6210 0.9261 0.8992
0.6751 0.0282 0.6031
0.6846 0.9349 0.1455
0.7781 0.0106 0.7822
0.8370 0.5344 0.8713
0.8932 0.5376 0.6786
0.9629 0.7502 0.6409
0.2118 0.2426 0.2211
0.2951 0.2266 0.3602
0.4373 0.0238 0.2493
0.5627 0.9762 0.7507
0.7049 0.7734 0.6398
0.7882 0.7574 0.7789
0.0194 0.6834 0.8473
0.0451 0.9474 0.3841
0.1094 0.1174 0.7769
0.1937 0.2795 0.5227
0.2736 0.8537 0.9441
0.2789 0.6183 0.4253
0.2926 0.3940 0.9769
0.3229 0.6038 0.1511
0.3388 0.6518 0.6799
0.4265 0.2597 0.7667
0.5735 0.7403 0.2333
0.6612 0.3482 0.3201
0.6771 0.3962 0.8489
0.7074 0.6060 0.0231
0.7211 0.3817 0.5747
0.7264 0.1463 0.0559
0.8063 0.7205 0.4773
0.8906 0.8826 0.2231
0.9549 0.0526 0.6159
0.9806 0.3166 0.1527
```

Top 6 peaks for 10 to 90 degrees two-theta, in order of rising 2θ:
2θ 10.06, I 100; 2θ 11.12, I 64; 2θ 23.84, I 64; 2θ 25.08, I 73; 2θ 29.86, I 92; 2θ 33.74, I 61

=====

Entry 8:
This entry pairs a crystal structure of GdNb2CuSi2 with its theoretical powder XRD pattern. Radiation: a wavelength of 1.5418 Å. Structure: a DFT-relaxed cell (PBE, OQMD).
Kinematic intensities with the Lorentz-polarization factor, no thermal factor.

Crystal structure
```
GdNb2CuSi2
1.0
3.9349 0.0000 0.0000
0.0000 3.9349 0.0000
0.0000 0.0000 7.3241
Gd Nb Cu Si
1 2 1 2
Direct
0.0000 0.0000 0.0000
0.0000 0.5000 0.3766
0.5000 0.0000 0.3766
0.5000 0.5000 0.6851
0.0000 0.0000 0.6213
0.5000 0.5000 0.1200
```

Top 6 peaks for 10 to 90 degrees two-theta, in order of rising 2θ:
2θ 25.70, I 39; 2θ 33.43, I 43; 2θ 34.48, I 100; 2θ 36.82, I 29; 2θ 40.73, I 58; 2θ 46.14, I 45

=====

Entry 9:
This entry pairs a crystal structure of Tl3Sn3Hg2 with its theoretical powder XRD pattern. Radiation: a wavelength of 1.5418 Å. Structure: a DFT-relaxed cell (PBE, OQMD).
Kinematic intensities with the Lorentz-polarization factor, no thermal factor.

Crystal structure
```
Tl3Sn3Hg2
1.0
4.4561 0.0000 0.0000
0.0000 4.4561 0.0000
0.0000 0.0000 13.8099
Tl Sn Hg
3 3 2
Direct
0.0000 0.0000 0.0000
0.0000 0.0000 0.5000
0.5000 0.5000 0.0000
0.5000 0.5000 0.2916
0.5000 0.5000 0.5000
0.5000 0.5000 0.7084
0.0000 0.5000 0.8333
0.5000 0.0000 0.1667
```

Top 6 peaks for 10 to 90 degrees two-theta, in order of rising 2θ:
2θ 20.95, I 52; 2θ 23.76, I 65; 2θ 31.20, I 82; 2θ 34.49, I 53; 2θ 38.69, I 100; 2θ 40.49, I 76

=====

Entry 10:
This entry pairs a crystal structure of TbGeH2O4 with its theoretical powder XRD pattern. Radiation: a wavelength of 1.5418 Å. Structure: a DFT-relaxed cell (PBE, OQMD).
Kinematic intensities with the Lorentz-polarization factor, no thermal factor.

Crystal structure
```
TbGeH2O4
1.0
5.0143 0.0000 0.0000
0.0000 6.1862 0.0000
-2.7023 0.0000 11.7728
Tb Ge H O
4 4 8 16
Direct
0.0522 0.2181 0.3414
0.0522 0.2819 0.8414
0.9478 0.7181 0.1586
0.9478 0.7819 0.6586
0.2904 0.2097 0.1046
0.2904 0.2903 0.6046
0.7096 0.7097 0.3954
0.7096 0.7903 0.8954
0.3443 0.7445 0.5062
0.3443 0.7555 0.0062
0.4788 0.0295 0.7449
0.4788 0.4705 0.2449
0.5212 0.5295 0.7551
0.5212 0.9705 0.2551
0.6557 0.2445 0.9938
0.6557 0.2555 0.4938
0.0402 0.7473 0.9846
0.0402 0.7527 0.4846
0.2256 0.5032 0.7166
0.2256 0.9968 0.2166
0.2688 0.0541 0.7154
0.2688 0.4459 0.2154
0.4454 0.2449 0.9693
0.4454 0.2551 0.4693
0.5546 0.7449 0.5307
0.5546 0.7551 0.0307
0.7312 0.5541 0.7846
0.7312 0.9459 0.2846
0.7744 0.0032 0.7834
0.7744 0.4968 0.2834
0.9598 0.2473 0.5154
0.9598 0.2527 0.0154
```

Top 6 peaks for 10 to 90 degrees two-theta, in order of rising 2θ:
2θ 18.15, I 91; 2θ 23.19, I 100; 2θ 25.40, I 89; 2θ 28.86, I 84; 2θ 29.95, I 86; 2θ 35.02, I 96

=====

Entry 11:
This entry pairs a crystal structure of Dy2LuCu4Si2Ge2 with its theoretical powder XRD pattern. Radiation: a wavelength of 1.5418 Å. Structure: a DFT-relaxed cell (PBE, OQMD).
Kinematic intensities with the Lorentz-polarization factor, no thermal factor.

Crystal structure
```
Dy2LuCu4Si2Ge2
1.0
-2.0895 3.2766 6.8760
2.0895 -3.2766 6.8760
2.0895 3.2766 -6.8760
Dy Lu Cu Si Ge
2 1 4 2 2
Direct
0.1297 0.1297 0.0000
0.8703 0.8703 0.0000
0.5000 0.0000 0.5000
0.1462 0.3365 0.8096
0.4731 0.6635 0.8096
0.5269 0.3365 0.1904
0.8538 0.6635 0.1904
0.1855 0.5000 0.6855
0.8145 0.5000 0.3145
0.2846 0.7846 0.5000
0.7154 0.2154 0.5000
```

Top 6 peaks for 10 to 90 degrees two-theta, in order of rising 2θ:
2θ 27.22, I 17; 2θ 35.41, I 100; 2θ 36.52, I 90; 2θ 43.30, I 30; 2θ 46.03, I 21; 2θ 65.02, I 23